Entry 1:
NdGdSi2Ni2C: computed X-ray diffraction stick pattern (Cu Kα, 1.54184 Å), based on the GGA-PBE geometry in OQMD.
Intensities are scaled so that the largest is 100.

Most intense lines, 10° ≤ 2θ ≤ 80°, sorted by position:
2θ = 24.73°, d = 3.601 Å, intensity 53, (1 1 0); 2θ = 25.67°, d = 3.470 Å, intensity 27, (2 0 -2); 2θ = 33.40°, d = 2.683 Å, intensity 83, (1 1 1); 2θ = 34.06°, d = 2.632 Å, intensity 26, (3 1 -1); 2θ = 34.50°, d = 2.600 Å, intensity 29, (2 0 1); 2θ = 35.45°, d = 2.532 Å, intensity 31, (4 0 -1); 2θ = 35.63°, d = 2.520 Å, intensity 25, (1 1 -2); 2θ = 36.25°, d = 2.478 Å, intensity 100, (3 1 -2); 2θ = 39.67°, d = 2.272 Å, intensity 29, (3 1 0); 2θ = 40.06°, d = 2.251 Å, intensity 27, (2 0 -3); 2θ = 45.37°, d = 1.999 Å, intensity 35, (0 2 0); 2θ = 58.18°, d = 1.586 Å, intensity 21, (2 2 1)

Structure:
```
data_NdGdSi2Ni2C
_cell_length_a 10.6069
_cell_length_b 3.9981
_cell_length_c 6.9460
_cell_angle_alpha 90.00
_cell_angle_beta 128.66
_cell_angle_gamma 90.00
_space_group_name_H-M_alt 'C 1 m 1'
_space_group_IT_number 8
_space_group_name_Hall 'C -2y'
loop_
_atom_site_label
_atom_site_type_symbol
_atom_site_fract_x
_atom_site_fract_y
_atom_site_fract_z
Nd1 Nd 0.0000 0.0000 0.0000
Gd1 Gd 0.1257 0.0000 0.6556
Si1 Si 0.2202 0.5000 0.4330
Si2 Si 0.4070 0.0000 0.2286
Ni1 Ni 0.2645 0.5000 0.1313
Ni2 Ni 0.3642 0.0000 0.5294
C1 C 0.0685 0.5000 0.8242
```


Entry 2:
La2SmAl7Ag2: computed X-ray diffraction stick pattern (Cu Kα, 1.54184 Å), based on the GGA-PBE geometry in OQMD.
Intensities are scaled so that the largest is 100.

Most intense lines, 10° ≤ 2θ ≤ 80°, sorted by position:
2θ = 19.79°, d = 4.487 Å, intensity 35, (0 0 6); 2θ = 22.41°, d = 3.967 Å, intensity 14, (1 0 4); 2θ = 29.50°, d = 3.028 Å, intensity 23, (1 0 7); 2θ = 31.55°, d = 2.835 Å, intensity 81, (1 1 0); 2θ = 32.25°, d = 2.776 Å, intensity 18, (0 1 8); 2θ = 36.75°, d = 2.445 Å, intensity 14, (0 2 1); 2θ = 37.52°, d = 2.397 Å, intensity 100, (1 1 6); 2θ = 44.00°, d = 2.058 Å, intensity 15, (1 1 9); 2θ = 56.19°, d = 1.637 Å, intensity 15, (3 0 0); 2θ = 60.17°, d = 1.538 Å, intensity 24, (3 0 6); 2θ = 61.11°, d = 1.516 Å, intensity 16, (1 1 15); 2θ = 65.88°, d = 1.418 Å, intensity 17, (2 2 0)

Structure:
```
data_La2SmAl7Ag2
_cell_length_a 5.6708
_cell_length_b 5.6708
_cell_length_c 26.9210
_cell_angle_alpha 90.00
_cell_angle_beta 90.00
_cell_angle_gamma 120.00
_space_group_name_H-M_alt 'R -3 m'
_space_group_IT_number 166
_space_group_name_Hall '-R 3 2"'
loop_
_atom_site_label
_atom_site_type_symbol
_atom_site_fract_x
_atom_site_fract_y
_atom_site_fract_z
La1 La 0.0000 0.0000 0.1422
Sm1 Sm 0.0000 0.0000 0.0000
Al1 Al 0.0000 0.0000 0.5000
Al2 Al 0.0075 0.5037 0.9188
Ag1 Ag 0.0000 0.0000 0.3362
```